This entry pairs a crystal structure of TmFeGe2O7 with its calculated PXRD pattern. Radiation: Cu Kα (λ = 1.5418 Å). Structure: a PBE+U-relaxed structure.
Neutral-atom scattering factors, no anomalous dispersion.

Top 10 peaks for 10° ≤ 2θ ≤ 90°, sorted by position:
2θ 14.91, d = 5.941 Å, rel. 16
2θ 26.94, d = 3.309 Å, rel. 31
2θ 27.53, d = 3.239 Å, rel. 100
2θ 30.08, d = 2.971 Å, rel. 44
2θ 33.76, d = 2.655 Å, rel. 17
2θ 34.37, d = 2.609 Å, rel. 32
2θ 36.01, d = 2.494 Å, rel. 17
2θ 47.26, d = 1.923 Å, rel. 17
2θ 53.13, d = 1.724 Å, rel. 19
2θ 58.92, d = 1.568 Å, rel. 15

Cell and atoms:
a = 6.940 Å, b = 6.940 Å, c = 6.628 Å
α = 110.17°, β = 110.17°, γ = 77.87°
Fractional positions:
Tm  0.201  0.799  0.000
Tm  0.799  0.201  0.000
Fe  0.304  0.696  0.500
Fe  0.696  0.304  0.500
Ge  0.216  0.216  0.511
Ge  0.305  0.305  0.078
Ge  0.695  0.695  0.922
Ge  0.784  0.784  0.489
O  0.054  0.726  0.603
O  0.131  0.131  0.032
O  0.217  0.571  0.167
O  0.274  0.946  0.397
O  0.311  0.311  0.808
O  0.364  0.364  0.451
O  0.429  0.783  0.833
O  0.571  0.217  0.167
O  0.636  0.636  0.549
O  0.689  0.689  0.192
O  0.726  0.054  0.603
O  0.783  0.429  0.833
O  0.869  0.869  0.968
O  0.946  0.274  0.397